1.
# NaSm2Be2O6
Computed powder XRD pattern, a wavelength of 1.5418 Å. Input: a crystal structure in Alexandria, relaxed with PBE.
Lines closer than 0.1° are merged.

Top 8 peaks for 5 to 70 degrees two-theta, in order of rising 2θ:
two_theta	d [Å]	I (rel.)
14.93	5.934	100.0
21.89	4.060	62.6
31.88	2.807	76.3
34.04	2.634	59.9
37.35	2.408	41.8
40.84	2.210	37.7
47.33	1.921	36.4
59.57	1.552	25.9

Atomic structure:
Unit cell a=6.668 b=6.668 c=6.668 alpha=46.54 beta=46.54 gamma=46.54
Fractional positions:
Na  0.000  0.000  0.000
Sm  0.202  0.202  0.202
Sm  0.798  0.798  0.798
Be  0.430  0.430  0.430
Be  0.570  0.570  0.570
O  0.233  0.733  0.733
O  0.267  0.267  0.767
O  0.267  0.767  0.267
O  0.733  0.233  0.733
O  0.733  0.733  0.233
O  0.767  0.267  0.267

=====

2.
# Cu5Ni6As
Computed powder XRD pattern, a wavelength of 1.5418 Å. Input: a crystal structure in Alexandria, relaxed with PBE.
Lines closer than 0.1° are merged.

Top 8 peaks for 5 to 70 degrees two-theta, in order of rising 2θ:
two_theta	d [Å]	I (rel.)
42.10	2.146	0.8
42.57	2.124	2.3
42.81	2.112	1.2
43.91	2.062	100.0
48.15	1.890	19.7
48.99	1.859	16.9
50.94	1.793	1.6
56.06	1.640	11.2

Atomic structure:
Unit cell a=6.741 b=6.741 c=6.741 alpha=147.44 beta=121.76 gamma=68.34
Fractional positions:
Cu  0.000  0.000  0.000
Cu  0.159  0.659  0.500
Cu  0.315  0.315  0.000
Cu  0.685  0.685  0.000
Cu  0.841  0.341  0.500
Ni  0.099  0.837  0.262
Ni  0.272  0.500  0.772
Ni  0.425  0.163  0.262
Ni  0.575  0.837  0.738
Ni  0.728  0.500  0.228
Ni  0.901  0.163  0.738
As  0.500  0.000  0.500

=====

3.
# HoTl2GaS4
Computed powder XRD pattern, a wavelength of 1.5418 Å. Input: a crystal structure in Alexandria, relaxed with PBE.
Lines closer than 0.1° are merged.

Top 8 peaks for 5 to 70 degrees two-theta, in order of rising 2θ:
two_theta	d [Å]	I (rel.)
26.49	3.365	68.4
26.97	3.306	63.7
30.78	2.905	51.2
31.05	2.880	100.0
44.29	2.045	72.0
52.25	1.751	25.5
53.07	1.726	23.0
55.61	1.653	18.4

Atomic structure:
Unit cell a=8.182 b=8.182 c=8.182 alpha=121.15 beta=119.40 gamma=89.53
Fractional positions:
Ho  0.000  0.000  0.000
Ho  0.500  0.000  0.500
Tl  0.000  0.500  0.500
Tl  0.500  0.000  0.000
Tl  0.500  0.500  0.000
Tl  0.500  0.500  0.500
Ga  0.000  0.000  0.500
Ga  0.000  0.500  0.000
S  0.192  0.238  0.954
S  0.216  0.762  0.454
S  0.226  0.198  0.472
S  0.226  0.754  0.028
S  0.774  0.246  0.972
S  0.774  0.802  0.528
S  0.784  0.238  0.546
S  0.808  0.762  0.046